No. 1
La2Pr7Tl2: calculated powder X-ray diffraction pattern (Cu Kα X-rays), based on a DFT-relaxed cell (PBE, Alexandria).
Neutral-atom scattering factors, no anomalous dispersion.

Top 10 peaks for 10° ≤ 2θ ≤ 90°, most intense first:
2θ (°)  Rel. int.
31.14  100.0
30.30  45.3
30.75  39.7
31.56  31.1
32.91  15.2
37.86  13.4
56.79  13.3
31.38  12.7
13.52  12.2
54.96  11.8

Cell: 6.6973 6.6973 8.9584 Å, 101.02 101.02 92.57°
Fractional positions:
La: 0.1795 0.8205 0.0000
La: 0.8205 0.1795 0.0000
Pr: 0.0000 0.0000 0.5000
Pr: 0.1196 0.5160 0.3351
Pr: 0.3117 0.3117 0.9876
Pr: 0.4840 0.8804 0.6649
Pr: 0.5160 0.1196 0.3351
Pr: 0.6883 0.6883 0.0124
Pr: 0.8804 0.4840 0.6649
Tl: 0.3825 0.3825 0.6584
Tl: 0.6175 0.6175 0.3416

No. 2
AcZnAgPd3: calculated powder X-ray diffraction pattern (Cu Kα X-rays), based on a DFT-relaxed cell (PBE, Alexandria).
Neutral-atom scattering factors, no anomalous dispersion.

Top 10 peaks for 10° ≤ 2θ ≤ 90°, most intense first:
2θ (°)  Rel. int.
40.01  100.0
29.82  69.7
32.45  60.8
42.08  59.6
33.20  48.2
26.06  38.5
39.38  27.6
20.97  23.4
41.47  21.9
80.08  21.0

Cell: 7.0952 7.0952 5.9911 Å, 90.00 90.00 122.37°
Fractional positions:
Ac: 0.1964 0.8036 0.7500
Ac: 0.8036 0.1964 0.2500
Zn: 0.1336 0.8664 0.2500
Zn: 0.8664 0.1336 0.7500
Ag: 0.4366 0.5634 0.7500
Ag: 0.5634 0.4366 0.2500
Pd: 0.1977 0.1977 0.0000
Pd: 0.1977 0.1977 0.5000
Pd: 0.3369 0.6631 0.2500
Pd: 0.6631 0.3369 0.7500
Pd: 0.8023 0.8023 0.0000
Pd: 0.8023 0.8023 0.5000

No. 3
Hf2ZnGa6: calculated powder X-ray diffraction pattern (Cu Kα X-rays), based on a DFT-relaxed cell (PBE, Alexandria).
Neutral-atom scattering factors, no anomalous dispersion.

Top 10 peaks for 10° ≤ 2θ ≤ 90°, most intense first:
2θ (°)  Rel. int.
41.10  100.0
40.73  90.3
37.12  83.4
39.48  75.8
31.36  73.3
12.18  68.7
43.78  66.9
44.90  58.6
43.46  58.3
35.67  53.9

Cell: 7.1316 3.1650 7.8654 Å, 90.00 112.51 90.00°
Fractional positions:
Hf: 0.1833 0.0000 0.3886
Hf: 0.8167 0.0000 0.6114
Zn: 0.5000 0.5000 0.0000
Ga: 0.1701 0.5000 0.7044
Ga: 0.1903 0.0000 0.0081
Ga: 0.4797 0.5000 0.3243
Ga: 0.5203 0.5000 0.6757
Ga: 0.8097 0.0000 0.9919
Ga: 0.8299 0.5000 0.2956

No. 4
CuMoOs2Se: calculated powder X-ray diffraction pattern (Cu Kα X-rays), based on a DFT-relaxed cell (PBE, Alexandria).
Neutral-atom scattering factors, no anomalous dispersion.

Top 10 peaks for 10° ≤ 2θ ≤ 90°, most intense first:
2θ (°)  Rel. int.
33.09  100.0
38.15  72.8
19.15  54.9
55.60  48.5
38.86  34.6
43.03  28.2
65.76  27.8
55.06  25.0
69.43  24.8
66.72  13.3

Cell: 4.7174 4.7174 4.6347 Å, 90.00 90.00 90.00°
Fractional positions:
Cu: 0.0000 0.0000 0.0000
Mo: 0.0000 0.0000 0.5000
Os: 0.0000 0.5000 0.5000
Os: 0.5000 0.0000 0.5000
Se: 0.5000 0.5000 0.0000

No. 5
Dy3Y4Ho5: calculated powder X-ray diffraction pattern (Cu Kα X-rays), based on a DFT-relaxed cell (PBE, Alexandria).
Neutral-atom scattering factors, no anomalous dispersion.

Top 10 peaks for 10° ≤ 2θ ≤ 90°, most intense first:
2θ (°)  Rel. int.
30.91  100.0
35.84  50.6
61.39  24.6
51.56  23.8
61.31  17.6
51.63  11.8
64.44  9.1
86.96  8.1
84.24  7.3
84.11  5.9

Cell: 6.1352 7.0951 8.6743 Å, 90.00 90.04 90.11°
Fractional positions:
Dy: 0.0000 0.0000 0.0000
Dy: 0.1675 0.7509 0.6676
Dy: 0.8325 0.2491 0.3324
Y: 0.1665 0.2491 0.6670
Y: 0.3324 0.4998 0.3324
Y: 0.6676 0.5002 0.6676
Y: 0.8335 0.7509 0.3330
Ho: 0.0000 0.5000 0.0000
Ho: 0.3338 0.0005 0.3329
Ho: 0.4989 0.7506 0.9994
Ho: 0.5011 0.2494 0.0006
Ho: 0.6662 0.9995 0.6671

No. 6
La3PrHo2: calculated powder X-ray diffraction pattern (Cu Kα X-rays), based on a DFT-relaxed cell (PBE, Alexandria).
Neutral-atom scattering factors, no anomalous dispersion.

Top 10 peaks for 10° ≤ 2θ ≤ 90°, most intense first:
2θ (°)  Rel. int.
31.82  100.0
28.81  41.4
30.24  37.0
33.81  35.0
28.39  29.7
38.08  24.9
55.94  20.2
50.78  19.5
61.73  12.3
50.00  12.1

Cell: 10.1394 10.1394 7.2970 Å, 111.05 111.05 38.08°
Fractional positions:
La: 0.1735 0.1851 0.9298
La: 0.1851 0.1735 0.4298
La: 0.2346 0.7654 0.7500
La: 0.7654 0.2346 0.2500
La: 0.8149 0.8265 0.5702
La: 0.8265 0.8149 0.0702
Pr: 0.2641 0.7359 0.2500
Pr: 0.7359 0.2641 0.7500
Ho: 0.3530 0.3530 0.3530
Ho: 0.3530 0.3530 0.8530
Ho: 0.6470 0.6470 0.1470
Ho: 0.6470 0.6470 0.6470